Mn3GaC: theoretical X-ray diffraction stick pattern (Cu Kα, 1.54184 Å), based on a structure optimized by DFT (GGA-PBE).
Peak positions follow from Bragg's law for the DFT cell and can differ from measured ones.

Structure:
abc: 3.843 3.843 3.843
angles: 87.76 87.76 87.76
Sites, in units of the cell vectors:
Mn 0.000 0.500 0.500
Mn 0.500 0.000 0.500
Mn 0.500 0.500 0.000
Ga 0.000 0.000 0.000
C 0.500 0.500 0.500

Top 8 peaks for 5 to 70 degrees two-theta, sorted by position:
- 32.37 deg, 2.766 Å, I 3
- 33.64 deg, 2.664 Å, I 3
- 39.10 deg, 2.304 Å, I 39
- 41.25 deg, 2.188 Å, I 100
- 47.38 deg, 1.919 Å, I 77
- 56.90 deg, 1.618 Å, I 1
- 59.36 deg, 1.557 Å, I 1
- 67.75 deg, 1.383 Å, I 24

***

Mn6ZnGaC2: theoretical X-ray diffraction stick pattern (Cu Kα, 1.54184 Å), based on a structure optimized by DFT (GGA-PBE).
Peak positions follow from Bragg's law for the DFT cell and can differ from measured ones.

Structure:
abc: 4.620 4.620 9.231
angles: 90.00 90.00 90.00
Sites, in units of the cell vectors:
Mn 0.000 0.000 0.248
Mn 0.000 0.000 0.752
Mn 0.000 0.500 0.000
Mn 0.000 0.500 0.500
Mn 0.500 0.000 0.000
Mn 0.500 0.000 0.500
Zn 0.000 0.000 0.000
Ga 0.000 0.000 0.500
C 0.500 0.500 0.252
C 0.500 0.500 0.748

Top 10 peaks for 5 to 70 degrees two-theta, sorted by position:
- 19.22 deg, 4.618 Å, I 100
- 27.31 deg, 3.266 Å, I 5
- 33.61 deg, 2.666 Å, I 27
- 39.01 deg, 2.309 Å, I 74
- 43.84 deg, 2.065 Å, I 47
- 48.27 deg, 1.885 Å, I 2
- 56.35 deg, 1.633 Å, I 46
- 60.11 deg, 1.539 Å, I 22
- 63.73 deg, 1.460 Å, I 1
- 67.24 deg, 1.392 Å, I 8

***

GaMo4CS8: theoretical X-ray diffraction stick pattern (Cu Kα, 1.54184 Å), based on a structure optimized by DFT (GGA-PBE).
Peak positions follow from Bragg's law for the DFT cell and can differ from measured ones.

Structure:
abc: 7.204 7.204 7.204
angles: 60.00 60.00 60.00
Sites, in units of the cell vectors:
Ga 0.000 0.000 0.000
Mo 0.403 0.403 0.403
Mo 0.403 0.403 0.792
Mo 0.403 0.792 0.403
Mo 0.792 0.403 0.403
C 0.250 0.250 0.250
S 0.110 0.630 0.630
S 0.143 0.143 0.143
S 0.143 0.143 0.570
S 0.143 0.570 0.143
S 0.570 0.143 0.143
S 0.630 0.110 0.630
S 0.630 0.630 0.110
S 0.630 0.630 0.630

Top 10 peaks for 5 to 70 degrees two-theta, sorted by position:
- 15.06 deg, 5.882 Å, I 100
- 17.41 deg, 5.094 Å, I 36
- 24.72 deg, 3.602 Å, I 26
- 29.07 deg, 3.072 Å, I 55
- 35.24 deg, 2.547 Å, I 57
- 38.52 deg, 2.337 Å, I 36
- 43.52 deg, 2.080 Å, I 50
- 46.31 deg, 1.961 Å, I 79
- 50.69 deg, 1.801 Å, I 52
- 65.42 deg, 1.427 Å, I 19

***

Question: Which formula does entry 2 have?
Answer: Mn6ZnGaC2